Nd4Ir6O19: computed powder diffraction line list (Cu Kα (weighted mean of Kα1 and Kα2)), based on a structure optimized by DFT (PBE).

Main lines, low angle first (2θ from 15° to 90°):
Position (°2θ), I (rel.)
19.60, 181
24.06, 380
31.22, 1000
37.13, 666
49.27, 203
51.43, 458
61.40, 313
70.49, 184

Cell: 7.8465 7.8465 7.8465 Å, 109.47 109.47 109.47°
Element x y z (fractional)
Nd (0.0000, 0.0000, 0.6886)
Nd (0.0000, 0.6886, 0.0000)
Nd (0.3114, 0.3114, 0.3114)
Nd (0.6886, 0.0000, 0.0000)
Ir (0.1601, 0.6601, 0.5000)
Ir (0.3399, 0.5000, 0.8399)
Ir (0.5000, 0.1601, 0.6601)
Ir (0.5000, 0.8399, 0.3399)
Ir (0.6601, 0.5000, 0.1601)
Ir (0.8399, 0.3399, 0.5000)
O (0.0000, 0.0000, 0.0000)
O (0.0000, 0.3400, 0.3400)
O (0.0000, 0.6600, 0.6600)
O (0.0374, 0.3435, 0.7375)
O (0.2625, 0.6060, 0.2999)
O (0.2999, 0.2625, 0.6060)
O (0.3060, 0.9626, 0.7001)
O (0.3400, 0.0000, 0.3400)
O (0.3400, 0.3400, 0.0000)
O (0.3435, 0.7375, 0.0374)
O (0.3940, 0.6565, 0.6940)
O (0.6060, 0.2999, 0.2625)
O (0.6565, 0.6940, 0.3940)
O (0.6600, 0.0000, 0.6600)
O (0.6600, 0.6600, 0.0000)
O (0.6940, 0.3940, 0.6565)
O (0.7001, 0.3060, 0.9626)
O (0.7375, 0.0374, 0.3435)
O (0.9626, 0.7001, 0.3060)

NdIrO5: computed powder diffraction line list (Cu Kα (weighted mean of Kα1 and Kα2)), based on a structure optimized by DFT (PBE).

Main lines, low angle first (2θ from 15° to 90°):
Position (°2θ), I (rel.)
21.08, 995
26.86, 454
27.01, 1000
34.43, 657
34.55, 351
42.92, 246
51.38, 306
52.54, 217

Cell: 5.6883 5.6883 7.6107 Å, 109.43 109.43 71.40°
Element x y z (fractional)
Nd (0.0451, 0.9549, 0.7500)
Nd (0.9549, 0.0451, 0.2500)
Ir (0.5000, 0.5000, 0.0000)
Ir (0.5000, 0.5000, 0.5000)
O (0.1962, 0.7747, 0.0313)
O (0.2253, 0.8038, 0.4687)
O (0.2658, 0.3034, 0.3888)
O (0.3034, 0.2658, 0.8888)
O (0.4112, 0.5888, 0.7500)
O (0.5888, 0.4112, 0.2500)
O (0.6966, 0.7342, 0.1112)
O (0.7342, 0.6966, 0.6112)
O (0.7747, 0.1962, 0.5313)
O (0.8038, 0.2253, 0.9687)

PmNd2IrO8: computed powder diffraction line list (Cu Kα (weighted mean of Kα1 and Kα2)), based on a structure optimized by DFT (PBE).

Main lines, low angle first (2θ from 15° to 90°):
Position (°2θ), I (rel.)
24.20, 1000
30.74, 904
34.44, 135
34.55, 133
46.85, 529
46.93, 166
58.28, 174
64.03, 105

Cell: 5.1928 7.0161 5.2078 Å, 90.00 90.14 90.00°
Element x y z (fractional)
Pm (0.0000, 0.0000, 0.0000)
Nd (0.5000, 0.2516, 0.5000)
Nd (0.5000, 0.7484, 0.5000)
Ir (0.0000, 0.5000, 0.0000)
O (0.1798, 0.2953, 0.8221)
O (0.1798, 0.7047, 0.8221)
O (0.2577, 0.5000, 0.2587)
O (0.3076, 0.0000, 0.3095)
O (0.6924, 0.0000, 0.6905)
O (0.7423, 0.5000, 0.7413)
O (0.8202, 0.2953, 0.1779)
O (0.8202, 0.7047, 0.1779)

TbNdIrO6: computed powder diffraction line list (Cu Kα (weighted mean of Kα1 and Kα2)), based on a structure optimized by DFT (PBE).

Main lines, low angle first (2θ from 15° to 90°):
Position (°2θ), I (rel.)
17.85, 188
25.78, 1000
32.24, 545
37.09, 168
41.73, 274
49.21, 479
53.69, 265
57.49, 166

Cell: 5.5533 5.5533 9.9391 Å, 90.00 90.00 120.00°
Element x y z (fractional)
Tb (0.3333, 0.6667, 0.2500)
Tb (0.6667, 0.3333, 0.7500)
Nd (0.0000, 0.0000, 0.0000)
Nd (0.0000, 0.0000, 0.5000)
Ir (0.3333, 0.6667, 0.7500)
Ir (0.6667, 0.3333, 0.2500)
O (0.0428, 0.3751, 0.6382)
O (0.0428, 0.6678, 0.8618)
O (0.3322, 0.3751, 0.8618)
O (0.3322, 0.9572, 0.6382)
O (0.3751, 0.0428, 0.1382)
O (0.3751, 0.3322, 0.3618)
O (0.6249, 0.6678, 0.6382)
O (0.6249, 0.9572, 0.8618)
O (0.6678, 0.0428, 0.3618)
O (0.6678, 0.6249, 0.1382)
O (0.9572, 0.3322, 0.1382)
O (0.9572, 0.6249, 0.3618)

Nd2P7Ir12: computed powder diffraction line list (Cu Kα (weighted mean of Kα1 and Kα2)), based on a structure optimized by DFT (PBE).

Main lines, low angle first (2θ from 15° to 90°):
Position (°2θ), I (rel.)
28.34, 188
36.27, 1000
45.24, 264
47.58, 121
50.18, 181
69.83, 129
77.57, 109
85.01, 101

Cell: 9.6198 9.6198 4.0111 Å, 90.00 90.00 120.00°
Element x y z (fractional)
Nd (0.3333, 0.6667, 0.2536)
Nd (0.6667, 0.3333, 0.7464)
P (0.0000, 0.0000, 0.0000)
P (0.1221, 0.4065, 0.7475)
P (0.2843, 0.8779, 0.7475)
P (0.4065, 0.2843, 0.2525)
P (0.5935, 0.7157, 0.7475)
P (0.7157, 0.1221, 0.2525)
P (0.8779, 0.5935, 0.2525)
Ir (0.0671, 0.6167, 0.7547)
Ir (0.1058, 0.8442, 0.2645)
Ir (0.1558, 0.2616, 0.2645)
Ir (0.2616, 0.1058, 0.7355)
Ir (0.3833, 0.4504, 0.7547)
Ir (0.4504, 0.0671, 0.2453)
Ir (0.5496, 0.9329, 0.7547)
Ir (0.6167, 0.5496, 0.2453)
Ir (0.7384, 0.8942, 0.2645)
Ir (0.8442, 0.7384, 0.7355)
Ir (0.8942, 0.1558, 0.7355)
Ir (0.9329, 0.3833, 0.2453)

Nd6Ir3Pd: computed powder diffraction line list (Cu Kα (weighted mean of Kα1 and Kα2)), based on a structure optimized by DFT (PBE).

Main lines, low angle first (2θ from 15° to 90°):
Position (°2θ), I (rel.)
23.77, 647
27.83, 268
32.25, 338
33.07, 492
35.42, 1000
39.76, 457
43.11, 355
45.64, 243

Cell: 9.0674 9.0674 7.1672 Å, 90.00 90.00 104.54°
Element x y z (fractional)
Nd (0.0086, 0.9914, 0.5000)
Nd (0.1044, 0.5550, 0.4427)
Nd (0.2348, 0.7652, 0.8666)
Nd (0.3025, 0.3587, 0.9036)
Nd (0.3587, 0.3025, 0.4036)
Nd (0.4450, 0.8956, 0.4427)
Nd (0.5550, 0.1044, 0.9427)
Nd (0.6413, 0.6975, 0.9036)
Nd (0.6975, 0.6413, 0.4036)
Nd (0.7652, 0.2348, 0.3666)
Nd (0.8956, 0.4450, 0.9427)
Nd (0.9914, 0.0086, 0.0000)
Ir (0.0692, 0.2924, 0.2070)
Ir (0.2924, 0.0692, 0.7070)
Ir (0.4000, 0.6000, 0.6231)
Ir (0.6000, 0.4000, 0.1231)
Ir (0.7076, 0.9308, 0.2070)
Ir (0.9308, 0.7076, 0.7070)
Pd (0.1596, 0.8404, 0.2361)
Pd (0.8404, 0.1596, 0.7361)